Starting from the GGA-PBE geometry in Alexandria, the powder diffractogram of CsLaTc2O7 was calculated for Cu Kα (λ = 1.5418 Å).

Peak list (10 most intense, 10 to 90 degrees two-theta, by angle)
2θ = 24.47°, intensity 8, (0 0 3); 2θ = 27.91°, intensity 100, (1 0 2); 2θ = 32.09°, intensity 42, (1 1 0); 2θ = 40.19°, intensity 15, (1 0 4); 2θ = 46.02°, intensity 25, (2 0 0); 2θ = 46.57°, intensity 14, (1 1 4); 2θ = 54.68°, intensity 30, (2 1 2); 2θ = 60.80°, intensity 9, (1 1 6); 2θ = 62.72°, intensity 8, (2 1 4); 2θ = 70.43°, intensity 9, (2 0 6)

Structural model:
```
data_CsLaTc2O7
_chemical_formula_sum 'Cs1 La1 Tc2 O7'
_space_group_name_H-M_alt 'P 4/m m m'
_space_group_IT_number 123
_space_group_name_Hall '-P 4 2'
_cell_length_a 3.944
_cell_length_b 3.944
_cell_length_c 10.911
_cell_angle_alpha 90.00
_cell_angle_beta 90.00
_cell_angle_gamma 90.00
loop_
_atom_site_label
_atom_site_type_symbol
_atom_site_fract_x
_atom_site_fract_y
_atom_site_fract_z
Cs1 Cs 0.000 0.000 0.000
La1 La 0.000 0.000 0.500
Tc1 Tc 0.500 0.500 0.308
O1 O 0.000 0.500 0.339
O2 O 0.500 0.500 0.145
O3 O 0.500 0.500 0.500
```